Entry 1:
Structure and calculated X-ray powder pattern of Tc3MoPt (a DFT-relaxed cell (GGA-PBE, Alexandria); CuKα).
Kinematic intensities with the Lorentz-polarization factor, no thermal factor.

Crystal structure
```
Tc3MoPt
1.0
4.5932 0.0000 0.0000
0.0000 4.5932 0.0000
0.0000 0.0000 4.5932
Tc Mo Pt
3 1 1
Cartesian
0.0000 0.0000 2.2966 Tc
0.0000 2.2966 0.0000 Tc
2.2966 0.0000 0.0000 Tc
0.0000 0.0000 0.0000 Mo
2.2966 2.2966 2.2966 Pt
```

Peak list (6 most intense, 2θ = 10–90°, in order of falling intensity)
| 2theta | intensity |
| --- | --- |
| 39.2 | 100 |
| 33.8 | 90 |
| 56.7 | 67 |
| 27.5 | 52 |
| 67.7 | 36 |
| 71.1 | 23 |

***

Entry 2:
Structure and calculated X-ray powder pattern of Te6MoPt (a DFT-relaxed cell (GGA-PBE, Alexandria); CuKα).
Kinematic intensities with the Lorentz-polarization factor, no thermal factor.

Crystal structure
```
Te6MoPt
1.0
6.6552 0.0000 0.0000
3.3166 5.8293 0.0000
0.1041 3.7156 5.6159
Te Mo Pt
6 1 1
Cartesian
2.6435 3.6153 2.4444 Te
5.1175 6.0533 0.4229 Te
4.1693 6.8031 4.3499 Te
5.9065 2.7419 1.2660 Te
4.9583 3.4917 5.1930 Te
7.4324 5.9296 3.1715 Te
5.0379 4.7725 2.8080 Mo
1.6583 2.9146 0.0000 Pt
```

Peak list (6 most intense, 2θ = 10–90°, in order of falling intensity)
| 2theta | intensity |
| --- | --- |
| 31.5 | 100 |
| 30.7 | 78 |
| 31.0 | 59 |
| 46.4 | 45 |
| 42.7 | 42 |
| 46.5 | 40 |

***

Entry 3:
Structure and calculated X-ray powder pattern of Te2MoPt (a DFT-relaxed cell (GGA-PBE, Alexandria); CuKα).
Kinematic intensities with the Lorentz-polarization factor, no thermal factor.

Crystal structure
```
Te2MoPt
1.0
1.7241 0.9954 8.8075
-1.7241 0.9954 8.8075
0.0000 -1.9908 8.8075
Te Mo Pt
2 1 1
Cartesian
0.0000 0.0000 2.5407 Te
0.0000 0.0000 23.8817 Te
0.0000 0.0000 13.2112 Mo
0.0000 0.0000 0.0000 Pt
```

Peak list (6 most intense, 2θ = 10–90°, in order of falling intensity)
| 2theta | intensity |
| --- | --- |
| 30.7 | 100 |
| 45.9 | 65 |
| 30.1 | 65 |
| 53.1 | 43 |
| 40.7 | 33 |
| 69.2 | 25 |

***

Entry 4:
Structure and calculated X-ray powder pattern of TiMoPt (a DFT-relaxed cell (GGA-PBE, Alexandria); CuKα).
Kinematic intensities with the Lorentz-polarization factor, no thermal factor.

Crystal structure
```
TiMoPt
1.0
1.3500 -8.2022 0.0000
1.3500 8.2022 0.0000
0.0000 0.0000 4.2710
Ti Mo Pt
2 2 2
Cartesian
1.3500 7.3913 3.2032 Ti
1.3500 -7.3913 1.0677 Ti
1.3500 4.6905 3.2032 Mo
1.3500 -4.6905 1.0677 Mo
1.3500 1.8661 3.2032 Pt
1.3500 -1.8661 1.0677 Pt
```

Peak list (6 most intense, 2θ = 10–90°, in order of falling intensity)
| 2theta | intensity |
| --- | --- |
| 39.9 | 100 |
| 39.1 | 95 |
| 43.4 | 49 |
| 23.5 | 49 |
| 42.3 | 43 |
| 62.2 | 34 |

***

Question: Which formula does entry 2 have?
Answer: Te6MoPt